Record 1
For Pr2ZnPtO6, a structure optimized by DFT (GGA-PBE) gives the calculated powder X-ray diffraction pattern in this record (Cu Kα X-rays).
No peak broadening, texture or thermal motion is included.

Atomic structure:
```
data_Pr2ZnPtO6
_cell_length_a 5.5544
_cell_length_b 5.8597
_cell_length_c 9.6638
_cell_angle_alpha 90.00
_cell_angle_beta 124.95
_cell_angle_gamma 90.00
_space_group_name_H-M_alt 'P 1 21/c 1'
_space_group_IT_number 14
loop_
_space_group_symop_operation_xyz
'x,y,z'
'-x,-y,-z'
'-x,y+1/2,-z+1/2'
'x,-y+1/2,z+1/2'
loop_
_atom_site_label
_atom_site_type_symbol
_atom_site_fract_x
_atom_site_fract_y
_atom_site_fract_z
_atom_site_occupancy
Pr1 Pr 0.2323 0.0658 0.2506 1
Zn1 Zn 0.5000 0.0000 0.0000 1
Pt1 Pt 0.0000 0.0000 0.5000 1
O1 O 0.1363 0.2065 0.9451 1
O2 O 0.2488 0.6967 0.9491 1
O3 O 0.3500 0.0335 0.7478 1
```

The 10 most intense peaks (10° ≤ 2θ ≤ 80°), in order of rising 2θ:
Position (°2θ), intensity, (hkl)
18.8, 111, 0 1 1
30.5, 213, 0 2 0
31.7, 1000, 1 1 1
32.2, 246, 2 0 -2
45.0, 196, 2 2 -2
45.8, 132, 0 0 4
55.0, 107, 1 3 -3
57.1, 166, 2 0 2
57.2, 164, 2 0 -6
75.8, 114, 1 1 5

***

Record 2
For Li2Nd2Ge3, a structure optimized by DFT (GGA-PBE) gives the calculated powder X-ray diffraction pattern in this record (Cu Kα X-rays).
No peak broadening, texture or thermal motion is included.

Atomic structure:
```
data_Li2Nd2Ge3
_cell_length_a 4.4365
_cell_length_b 18.7379
_cell_length_c 6.9475
_cell_angle_alpha 90.00
_cell_angle_beta 90.00
_cell_angle_gamma 90.00
_space_group_name_H-M_alt 'C m c m'
_space_group_IT_number 63
_space_group_name_Hall '-C 2c 2'
loop_
_atom_site_label
_atom_site_type_symbol
_atom_site_fract_x
_atom_site_fract_y
_atom_site_fract_z
_atom_site_occupancy
Li1 Li 0.0000 0.1906 0.0611 1
Nd1 Nd 0.0000 0.3423 0.2500 1
Nd2 Nd 0.0000 0.4478 0.7500 1
Ge1 Ge 0.0000 0.0621 0.5675 1
Ge2 Ge 0.0000 0.2801 0.7500 1
```

The 10 most intense peaks (10° ≤ 2θ ≤ 80°), in order of rising 2θ:
Position (°2θ), intensity, (hkl)
22.9, 146, 0 4 1
24.6, 177, 1 3 0
25.6, 226, 0 0 2
31.4, 176, 0 6 1
33.1, 749, 1 1 2
33.9, 1000, 1 5 1
40.7, 323, 2 0 0
43.6, 199, 0 4 3
57.2, 153, 2 8 0
61.1, 147, 2 4 3

***

Record 3
For SmH3, a structure optimized by DFT (GGA-PBE) gives the calculated powder X-ray diffraction pattern in this record (Cu Kα X-rays).
No peak broadening, texture or thermal motion is included.

Atomic structure:
```
data_SmH3
_cell_length_a 5.3265
_cell_length_b 5.3265
_cell_length_c 5.3265
_cell_angle_alpha 90.00
_cell_angle_beta 90.00
_cell_angle_gamma 90.00
_space_group_name_H-M_alt 'F m -3 m'
_space_group_IT_number 225
_space_group_name_Hall '-F 4 2 3'
loop_
_atom_site_label
_atom_site_type_symbol
_atom_site_fract_x
_atom_site_fract_y
_atom_site_fract_z
_atom_site_occupancy
Sm1 Sm 0.0000 0.0000 0.0000 1
H1 H 0.0000 0.0000 0.5000 1
H2 H 0.2500 0.2500 0.2500 1
```

The 7 most intense peaks (10° ≤ 2θ ≤ 80°), in order of rising 2θ:
Position (°2θ), intensity, (hkl)
29.0, 1000, 1 1 1
33.7, 510, 2 0 0
48.3, 393, 2 2 0
57.4, 448, 3 1 1
60.2, 129, 2 2 2
70.8, 62, 4 0 0
78.2, 182, 3 3 1

***

Record 4
For CeSe2, a structure optimized by DFT (GGA-PBE) gives the calculated powder X-ray diffraction pattern in this record (Cu Kα X-rays).
No peak broadening, texture or thermal motion is included.

Atomic structure:
```
data_CeSe2
_cell_length_a 14.9394
_cell_length_b 14.9394
_cell_length_c 13.7602
_cell_angle_alpha 90.00
_cell_angle_beta 90.00
_cell_angle_gamma 90.00
_space_group_name_H-M_alt 'P 42/n b c'
_space_group_IT_number 133
loop_
_space_group_symop_operation_xyz
'x,y,z'
'-x,-y,-z'
'-y+1/2,x,z+1/2'
'y+1/2,-x,-z+1/2'
'-x+1/2,-y+1/2,z'
'x+1/2,y+1/2,-z'
'y,-x+1/2,z+1/2'
'-y,x+1/2,-z+1/2'
'x,-y+1/2,-z'
'-x,y+1/2,z'
'-y+1/2,-x+1/2,-z+1/2'
'y+1/2,x+1/2,z+1/2'
'-x+1/2,y,-z'
'x+1/2,-y,z'
'y,x,-z+1/2'
'-y,-x,z+1/2'
loop_
_atom_site_label
_atom_site_type_symbol
_atom_site_fract_x
_atom_site_fract_y
_atom_site_fract_z
_atom_site_occupancy
Ce1 Ce 0.0297 0.6979 0.1882 1
Se1 Se 0.0105 0.7500 0.0000 1
Se2 Se 0.0718 0.6608 0.6953 1
Se3 Se 0.1292 0.1292 0.2500 1
```

The 10 most intense peaks (10° ≤ 2θ ≤ 80°), in order of rising 2θ:
Position (°2θ), intensity, (hkl)
12.9, 873, 0 0 2
13.5, 612, 2 0 1
14.7, 379, 2 1 1
16.8, 1000, 2 2 0
18.5, 518, 2 1 2
27.5, 206, 4 2 1
29.2, 370, 2 1 4
32.7, 266, 4 3 2
40.0, 326, 4 3 4
41.1, 201, 6 3 1

***

Record 5
For CuSeO4, a structure optimized by DFT (GGA-PBE) gives the calculated powder X-ray diffraction pattern in this record (Cu Kα X-rays).
No peak broadening, texture or thermal motion is included.

Atomic structure:
```
data_CuSeO4
_cell_length_a 5.5775
_cell_length_b 8.1248
_cell_length_c 6.6753
_cell_angle_alpha 90.00
_cell_angle_beta 90.00
_cell_angle_gamma 90.00
_space_group_name_H-M_alt 'C m c m'
_space_group_IT_number 63
_space_group_name_Hall '-C 2c 2'
loop_
_atom_site_label
_atom_site_type_symbol
_atom_site_fract_x
_atom_site_fract_y
_atom_site_fract_z
_atom_site_occupancy
Cu1 Cu 0.0000 0.0000 0.0000 1
Se1 Se 0.0000 0.3481 0.2500 1
O1 O 0.0000 0.2386 0.0378 1
O2 O 0.2480 0.4712 0.2500 1
```

The 10 most intense peaks (10° ≤ 2θ ≤ 80°), in order of rising 2θ:
Position (°2θ), intensity, (hkl)
23.5, 952, 1 1 1
25.7, 527, 0 2 1
32.1, 436, 2 0 0
33.2, 1000, 1 1 2
36.9, 513, 1 3 0
48.1, 232, 2 2 2
52.8, 166, 0 4 2
57.9, 245, 3 1 2
63.1, 315, 2 4 2
68.1, 167, 1 3 4

***

Record 6
For Ba4Y3F17, a structure optimized by DFT (GGA-PBE) gives the calculated powder X-ray diffraction pattern in this record (Cu Kα X-rays).
No peak broadening, texture or thermal motion is included.

Atomic structure:
```
data_Ba4Y3F17
_cell_length_a 9.4253
_cell_length_b 9.4285
_cell_length_c 9.4803
_cell_angle_alpha 72.80
_cell_angle_beta 72.99
_cell_angle_gamma 73.00
_space_group_name_H-M_alt 'P 1'
_space_group_IT_number 1
loop_
_space_group_symop_operation_xyz
'x,y,z'
loop_
_atom_site_label
_atom_site_type_symbol
_atom_site_fract_x
_atom_site_fract_y
_atom_site_fract_z
_atom_site_occupancy
Ba1 Ba 0.0000 0.0000 0.0000 1
Ba2 Ba 0.0452 0.7910 0.6170 1
Ba3 Ba 0.2018 0.3673 0.9383 1
Ba4 Ba 0.2566 0.1698 0.5691 1
Ba5 Ba 0.3640 0.9415 0.1981 1
Ba6 Ba 0.4226 0.7436 0.8368 1
Ba7 Ba 0.5766 0.3242 0.1516 1
Ba8 Ba 0.6271 0.1073 0.7724 1
Y1 Y 0.1276 0.5820 0.2762 1
Y2 Y 0.4743 0.5244 0.4927 1
Y3 Y 0.7050 0.8946 0.4157 1
Y4 Y 0.7872 0.6601 0.0582 1
Y5 Y 0.8458 0.4464 0.7212 1
Y6 Y 0.9232 0.2383 0.3485 1
F1 F 0.0288 0.6513 0.0621 1
F2 F 0.0496 0.2726 0.7998 1
F3 F 0.0544 0.5068 0.5388 1
F4 F 0.0927 0.1412 0.1503 1
F5 F 0.1262 0.0436 0.4319 1
F6 F 0.1376 0.3351 0.2872 1
F7 F 0.1745 0.9186 0.7459 1
F8 F 0.2234 0.7865 0.1103 1
F9 F 0.2710 0.6947 0.3985 1
F10 F 0.3022 0.6025 0.7008 1
F11 F 0.3155 0.0500 0.8883 1
F12 F 0.3255 0.5087 0.0675 1
F13 F 0.3521 0.4198 0.3747 1
F14 F 0.3993 0.3189 0.6656 1
F15 F 0.4538 0.1918 0.0214 1
F16 F 0.4961 0.0676 0.3380 1
F17 F 0.5282 0.7510 0.4679 1
F18 F 0.5319 0.9684 0.6199 1
F19 F 0.5782 0.5984 0.2351 1
F20 F 0.5810 0.8316 0.9760 1
F21 F 0.6198 0.4661 0.6698 1
F22 F 0.6626 0.3212 0.4272 1
F23 F 0.6740 0.5454 0.9239 1
F24 F 0.7310 0.8490 0.1854 1
F25 F 0.7658 0.2396 0.8967 1
F26 F 0.7710 0.7055 0.6176 1
F27 F 0.8004 0.1001 0.2467 1
F28 F 0.8223 0.0198 0.5211 1
F29 F 0.8584 0.8725 0.8717 1
F30 F 0.8625 0.3970 0.1285 1
F31 F 0.8809 0.5305 0.3295 1
F32 F 0.9070 0.2632 0.5835 1
F33 F 0.9507 0.5664 0.8411 1
F34 F 0.9630 0.7983 0.3383 1
```

The 10 most intense peaks (10° ≤ 2θ ≤ 80°), in order of rising 2θ:
Position (°2θ), intensity, (hkl)
25.7, 513, -1 1 2
25.8, 1000, 2 -1 1
25.9, 470, 2 2 2
29.8, 247, 1 0 3
29.9, 481, 3 1 0
42.6, 427, 2 1 -3
42.7, 417, 1 -3 2
42.9, 202, 4 1 3
50.5, 265, 4 0 -2
50.7, 327, 4 3 -1